Simulated X-ray powder pattern
Compound: Ac3RhPb2
Radiation: Cu Kα, 1.54184 Å
Structure: the GGA-PBE geometry in Alexandria
Kinematic intensities with the Lorentz-polarization factor, no thermal factor.

```
data_Ac3RhPb2
_cell_length_a 13.5179
_cell_length_b 4.6919
_cell_length_c 12.9549
_cell_angle_alpha 90.00
_cell_angle_beta 90.00
_cell_angle_gamma 90.00
_symmetry_space_group_name_H-M 'P n m a'
_symmetry_Int_Tables_number 62
_symmetry_space_group_name_Hall '-P 2ac 2n'
loop_
_atom_site_label
_atom_site_type_symbol
_atom_site_fract_x
_atom_site_fract_y
_atom_site_fract_z
_atom_site_occupancy
Ac1 Ac 0.0518 0.2500 0.1298 1
Ac2 Ac 0.1173 0.7500 0.5420 1
Ac3 Ac 0.2405 0.2500 0.7914 1
Rh1 Rh 0.1307 0.2500 0.3662 1
Pb1 Pb 0.0034 0.7500 0.3081 1
Pb2 Pb 0.1913 0.7500 0.9964 1
```

Top 10 peaks for 2θ from 15° to 90°, by angle:
h k l, d [Å], I/Imax
3 0 2, 3.698, 51
2 1 2, 3.312, 75
0 1 3, 3.177, 100
1 0 4, 3.151, 68
4 0 2, 2.996, 54
3 1 2, 2.905, 72
4 1 1, 2.683, 79
1 1 4, 2.615, 35
2 1 4, 2.480, 58
0 2 0, 2.346, 79